[1]
The following is a computed powder diffraction line list of AcCe3. It was derived from the GGA-PBE geometry in Alexandria, using Cu Kα (weighted mean of Kα1 and Kα2).
Neutral-atom scattering factors, no anomalous dispersion.

Lattice parameters (Å, degrees): 3.8140 5.5587 5.9931 90.00 90.00 90.00
Space group Pmm2 (No. 25)
Symmetry-distinct sites (fractional):
Ac 0.0000 0.0000 0.0000 (multiplicity 1)
Ce 0.0000 0.5000 0.5798 (multiplicity 1)
Ce 0.5000 0.0000 0.5133 (multiplicity 1)
Ce 0.5000 0.5000 0.2508 (multiplicity 1)

Largest 10 diffraction maxima, by intensity, 15° ≤ 2θ ≤ 90°:
(0 2 0), 2.783 Å, 32.16 deg, intensity 100; (0 1 2), 2.638 Å, 33.99 deg, intensity 21; (1 0 1), 3.218 Å, 27.72 deg, intensity 18; (0 1 1), 4.076 Å, 21.81 deg, intensity 17; (1 3 1), 1.606 Å, 57.39 deg, intensity 14; (1 2 1), 2.103 Å, 43.00 deg, intensity 11; (2 2 0), 1.572 Å, 58.72 deg, intensity 10; (3 1 1), 1.214 Å, 78.83 deg, intensity 10; (2 0 0), 1.907 Å, 47.69 deg, intensity 9; (2 1 2), 1.545 Å, 59.85 deg, intensity 8

[2]
The following is a computed powder diffraction line list of Sr2Be2Cr. It was derived from the GGA-PBE geometry in Alexandria, using Cu Kα (weighted mean of Kα1 and Kα2).
Neutral-atom scattering factors, no anomalous dispersion.

Lattice parameters (Å, degrees): 5.9324 5.9324 7.3354 90.00 90.00 90.00
Space group I4/mmm (No. 139)
Symmetry-distinct sites (fractional):
Sr 0.0000 0.5000 0.2500 (multiplicity 4)
Be 0.0000 0.0000 0.1409 (multiplicity 4)
Cr 0.0000 0.0000 0.5000 (multiplicity 2)

Largest 10 diffraction maxima, by intensity, 15° ≤ 2θ ≤ 90°:
(1 1 2), 2.761 Å, 32.43 deg, intensity 100; (2 0 0), 2.966 Å, 30.13 deg, intensity 69; (3 1 2), 1.670 Å, 54.98 deg, intensity 42; (1 1 0), 4.195 Å, 21.18 deg, intensity 32; (2 2 0), 2.097 Å, 43.13 deg, intensity 25; (2 0 2), 2.306 Å, 39.06 deg, intensity 18; (2 0 4), 1.560 Å, 59.24 deg, intensity 16; (0 0 2), 3.668 Å, 24.27 deg, intensity 16; (1 0 1), 4.613 Å, 19.24 deg, intensity 15; (5 1 2), 1.109 Å, 88.08 deg, intensity 11

[3]
The following is a computed powder diffraction line list of PrHoNi. It was derived from the GGA-PBE geometry in Alexandria, using Cu Kα (weighted mean of Kα1 and Kα2).
Neutral-atom scattering factors, no anomalous dispersion.

Lattice parameters (Å, degrees): 12.1729 3.7417 8.2760 90.00 126.20 90.00
Space group C2/m (No. 12)
Symmetry-distinct sites (fractional):
Pr 0.1671 0.0000 0.0805 (multiplicity 4)
Ho 0.0835 0.5000 0.3858 (multiplicity 4)
Ni 0.1216 0.0000 0.6654 (multiplicity 4)

Largest 10 diffraction maxima, by intensity, 15° ≤ 2θ ≤ 90°:
(2 0 -3), 2.718 Å, 32.95 deg, intensity 100; (3 1 -1), 2.741 Å, 32.67 deg, intensity 74; (4 0 -2), 2.995 Å, 29.83 deg, intensity 48; (2 0 1), 3.164 Å, 28.20 deg, intensity 41; (1 1 1), 2.861 Å, 31.27 deg, intensity 41; (1 1 2), 2.195 Å, 41.11 deg, intensity 32; (3 1 0), 2.464 Å, 36.46 deg, intensity 29; (0 2 0), 1.871 Å, 48.67 deg, intensity 26; (1 1 -1), 3.406 Å, 26.16 deg, intensity 25; (3 1 -2), 2.614 Å, 34.31 deg, intensity 23

[4]
The following is a computed powder diffraction line list of GdMn12. It was derived from the GGA-PBE geometry in Alexandria, using Cu Kα (weighted mean of Kα1 and Kα2).
Neutral-atom scattering factors, no anomalous dispersion.

Lattice parameters (Å, degrees): 4.6268 11.8272 11.8170 90.00 90.00 90.00
Space group Fmm2 (No. 42)
Symmetry-distinct sites (fractional):
Gd 0.0000 0.0000 0.0000 (multiplicity 4)
Mn 0.0000 0.1140 0.3839 (multiplicity 8)
Mn 0.0000 0.1142 0.6132 (multiplicity 8)
Mn 0.0000 0.1825 0.8181 (multiplicity 8)
Mn 0.0000 0.1836 0.1820 (multiplicity 8)
Mn 0.2477 0.0000 0.7492 (multiplicity 8)
Mn 0.2500 0.2500 0.9999 (multiplicity 8)

Largest 10 diffraction maxima, by intensity, 15° ≤ 2θ ≤ 90°:
(1 5 1), 2.073 Å, 43.67 deg, intensity 100; (2 2 2), 2.024 Å, 44.78 deg, intensity 72; (0 4 4), 2.090 Å, 43.29 deg, intensity 60; (1 1 3), 2.908 Å, 30.75 deg, intensity 46; (1 3 3), 2.387 Å, 37.68 deg, intensity 44; (2 0 4), 1.822 Å, 50.07 deg, intensity 20; (3 5 1), 1.284 Å, 73.79 deg, intensity 19; (1 3 9), 1.203 Å, 79.69 deg, intensity 18; (2 0 0), 2.313 Å, 38.93 deg, intensity 17; (2 6 6), 1.194 Å, 80.47 deg, intensity 16

[5]
The following is a computed powder diffraction line list of PuZnN2. It was derived from the GGA-PBE geometry in Alexandria, using Cu Kα (weighted mean of Kα1 and Kα2).
Neutral-atom scattering factors, no anomalous dispersion.

Lattice parameters (Å, degrees): 3.6002 3.6002 17.2122 90.00 90.00 120.00
Space group P3_221 (No. 154)
Symmetry-distinct sites (fractional):
Pu 0.0000 0.6707 0.3333 (multiplicity 3)
Zn 0.0000 0.6647 0.8333 (multiplicity 3)
N 0.0041 0.6666 0.7262 (multiplicity 6)

Largest 10 diffraction maxima, by intensity, 15° ≤ 2θ ≤ 90°:
(0 1 2), 2.931 Å, 30.49 deg, intensity 100; (1 0 4), 2.525 Å, 35.56 deg, intensity 54; (0 0 3), 5.737 Å, 15.44 deg, intensity 52; (1 1 0), 1.800 Å, 50.71 deg, intensity 27; (0 0 6), 2.869 Å, 31.18 deg, intensity 27; (1 1 6), 1.525 Å, 60.74 deg, intensity 25; (0 1 8), 1.771 Å, 51.61 deg, intensity 25; (1 0 1), 3.068 Å, 29.11 deg, intensity 22; (0 1 5), 2.311 Å, 38.97 deg, intensity 19; (1 0 10), 1.507 Å, 61.54 deg, intensity 15

[6]
The following is a computed powder diffraction line list of Cd6InGa4. It was derived from the GGA-PBE geometry in Alexandria, using Cu Kα (weighted mean of Kα1 and Kα2).
Neutral-atom scattering factors, no anomalous dispersion.

Lattice parameters (Å, degrees): 6.2169 6.2169 13.5861 90.00 90.00 90.00
Space group I-42m (No. 121)
Symmetry-distinct sites (fractional):
Cd 0.0000 0.5000 0.0000 (multiplicity 4)
Cd 0.2028 0.2028 0.1531 (multiplicity 8)
In 0.0000 0.0000 0.5000 (multiplicity 2)
Ga 0.2430 0.2430 0.3531 (multiplicity 8)

Largest 10 diffraction maxima, by intensity, 15° ≤ 2θ ≤ 90°:
(2 0 4), 2.293 Å, 39.29 deg, intensity 100; (2 0 2), 2.827 Å, 31.65 deg, intensity 72; (2 2 0), 2.198 Å, 41.06 deg, intensity 51; (2 1 1), 2.724 Å, 32.88 deg, intensity 33; (0 0 6), 2.264 Å, 39.81 deg, intensity 28; (2 2 6), 1.577 Å, 58.52 deg, intensity 27; (1 0 3), 3.660 Å, 24.32 deg, intensity 25; (4 2 4), 1.287 Å, 73.63 deg, intensity 20; (2 0 10), 1.245 Å, 76.52 deg, intensity 17; (2 0 0), 3.108 Å, 28.72 deg, intensity 16

[7]
The following is a computed powder diffraction line list of Tb4Y7Ho2. It was derived from the GGA-PBE geometry in Alexandria, using Cu Kα (weighted mean of Kα1 and Kα2).
Neutral-atom scattering factors, no anomalous dispersion.

Lattice parameters (Å, degrees): 6.4874 6.6358 10.0561 103.87 92.17 93.62
Space group P-1 (No. 2)
Symmetry-distinct sites (fractional):
Tb 0.1671 0.0239 0.3842 (multiplicity 2)
Tb 0.3282 0.8828 0.7388 (multiplicity 2)
Y 0.0000 0.5000 0.5000 (multiplicity 1)
Y 0.1804 0.2197 0.1001 (multiplicity 2)
Y 0.3498 0.7225 0.0703 (multiplicity 2)
Y 0.4641 0.6439 0.3904 (multiplicity 2)
Ho 0.1382 0.3904 0.8003 (multiplicity 2)

Largest 10 diffraction maxima, by intensity, 15° ≤ 2θ ≤ 90°:
(1 -2 2), 2.796 Å, 32.01 deg, intensity 100; (0 2 1), 2.852 Å, 31.37 deg, intensity 46; (1 1 -3), 2.911 Å, 30.71 deg, intensity 46; (2 1 0), 2.806 Å, 31.89 deg, intensity 39; (1 0 3), 2.842 Å, 31.48 deg, intensity 39; (-1 1 4), 2.054 Å, 44.08 deg, intensity 17; (1 0 -3), 2.972 Å, 30.06 deg, intensity 17; (1 3 -2), 2.021 Å, 44.85 deg, intensity 12; (3 -1 2), 1.939 Å, 46.85 deg, intensity 11; (0 3 -5), 1.655 Å, 55.52 deg, intensity 10

[8]
The following is a computed powder diffraction line list of Na3Li4I8. It was derived from the GGA-PBE geometry in Alexandria, using Cu Kα (weighted mean of Kα1 and Kα2).
Neutral-atom scattering factors, no anomalous dispersion.

Lattice parameters (Å, degrees): 8.6908 8.6908 23.2878 90.00 90.00 120.00
Space group R-3m (No. 166, hexagonal axes)
Symmetry-distinct sites (fractional):
Na 0.0000 0.5000 0.0000 (multiplicity 9)
Li 0.0000 0.0000 0.0000 (multiplicity 3)
Li 0.0000 0.0000 0.1387 (multiplicity 6)
Li 0.0000 0.0000 0.5000 (multiplicity 3)
I 0.0000 0.0000 0.2537 (multiplicity 6)
I 0.0046 0.5023 0.7509 (multiplicity 18)

Largest 10 diffraction maxima, by intensity, 15° ≤ 2θ ≤ 90°:
(2 0 2), 3.581 Å, 24.86 deg, intensity 100; (0 2 4), 3.160 Å, 28.24 deg, intensity 99; (2 0 8), 2.303 Å, 39.12 deg, intensity 42; (0 0 6), 3.881 Å, 22.91 deg, intensity 40; (2 2 0), 2.173 Å, 41.56 deg, intensity 36; (2 2 6), 1.896 Å, 47.99 deg, intensity 32; (0 2 10), 1.980 Å, 45.82 deg, intensity 19; (4 0 4), 1.790 Å, 51.01 deg, intensity 19; (2 2 12), 1.447 Å, 64.37 deg, intensity 18; (2 4 4), 1.382 Å, 67.83 deg, intensity 16